Starting from a structure optimized by DFT (GGA-PBE), the powder diffraction line list of Li3BiB4O9 was calculated for CuKα.
Kinematic intensities with the Lorentz-polarization factor, no thermal factor.

Top 10 peaks for 10 to 90 degrees two-theta, low angle first:
hkl 0 0 1, 12.28°, rel. 76; hkl 1 0 -1, 17.09°, rel. 99; hkl 1 1 0, 19.40°, rel. 66; hkl 0 2 0, 20.99°, rel. 68; hkl 0 2 1, 24.39°, rel. 62; hkl 1 1 1, 25.66°, rel. 100; hkl 1 2 -1, 27.20°, rel. 38; hkl 1 2 -2, 32.89°, rel. 54; hkl 2 1 0, 34.66°, rel. 37; hkl 1 3 0, 35.86°, rel. 64

Crystal structure
```
data_Li3BiB4O9
_space_group_name_H-M_alt 'P 1 21/m 1'
_space_group_IT_number 11
_space_group_name_Hall '-P 2yb'
_cell_length_a 5.723
_cell_length_b 8.463
_cell_length_c 7.585
_cell_angle_alpha 90.00
_cell_angle_beta 108.17
_cell_angle_gamma 90.00
loop_
_atom_site_label
_atom_site_type_symbol
_atom_site_fract_x
_atom_site_fract_y
_atom_site_fract_z
_atom_site_occupancy
Li1 Li 0.053 0.250 0.463 1
Li2 Li 0.306 0.521 0.749 1
Bi1 Bi 0.145 0.250 0.059 1
B1 B 0.207 0.546 0.313 1
B2 B 0.404 0.750 0.555 1
B3 B 0.494 0.250 0.733 1
O1 O 0.035 0.070 0.243 1
O2 O 0.234 0.608 0.488 1
O3 O 0.290 0.250 0.803 1
O4 O 0.344 0.604 0.204 1
O5 O 0.404 0.250 0.529 1
O6 O 0.477 0.750 0.757 1
```